LaAlGe2O7: computed X-ray diffraction stick pattern (copper Kα), based on a crystal structure in the Materials Project, relaxed with PBE.

The 10 most intense peaks (2θ = 15–90°), sorted by position:
index	d/Å	I_rel
0 0 2	5.762	35
2 0 0	3.272	100
1 0 -4	3.249	59
1 2 -1	3.020	94
2 0 -4	2.938	31
0 0 4	2.883	38
1 2 1	2.731	33
0 2 3	2.510	27
3 2 -1	1.918	34
3 2 -5	1.809	29

```
44
Lattice="7.3777 0.0000 0.0000 0.0000 6.6300 0.0000 -5.9998 0.0000 11.5315" Properties=species:S:1:pos:R:3 pbc="T T T"
La -1.0852 0.9808 5.4705
La -4.0851 2.3342 11.2362
La 5.4630 4.2958 0.2953
La 2.4631 5.6492 6.0610
Al -2.8067 0.6785 8.4215
Al 0.1932 2.6365 2.6558
Al 1.1847 3.9935 8.8757
Al 4.1846 5.9515 3.1100
Ge -1.1625 4.3580 5.1938
Ge -4.1624 5.5870 10.9596
Ge -2.0774 3.9135 8.2934
Ge 0.9225 6.0315 2.5277
Ge 0.4554 0.5985 9.0039
Ge 3.4553 2.7165 3.2381
Ge 5.5403 1.0430 0.5720
Ge 2.5404 2.2720 6.3377
O -5.4456 4.3942 10.5243
O -2.4457 5.5508 4.7585
O 0.0726 4.5179 2.1663
O -2.9274 5.4271 7.9320
O -3.6832 0.3285 9.9627
O -0.6833 2.9865 4.1970
O 0.0046 0.7632 3.1885
O -2.9953 2.5518 8.9543
O -1.6171 3.3411 6.6055
O 1.3828 6.6039 0.8397
O -2.8588 4.4945 11.2621
O 0.1411 5.4505 5.4964
O -1.0377 0.8261 8.0736
O 1.9622 2.4889 2.3078
O -0.5844 4.1411 9.2237
O 2.4155 5.8039 3.4579
O 1.2368 1.1795 6.0351
O 4.2367 2.1355 0.2694
O -0.0049 0.0261 10.6918
O 2.9950 3.2889 4.9260
O 4.3731 4.0782 2.5772
O 1.3732 5.8668 8.3430
O 2.0611 3.6435 7.3345
O 5.0610 6.3015 1.5688
O 4.3052 1.2029 3.5995
O 1.3053 2.1121 9.3653
O 3.8236 1.0792 6.7730
O 6.8235 2.2358 1.0072
```

---

TaN2: computed X-ray diffraction stick pattern (copper Kα), based on a crystal structure in the Materials Project, relaxed with PBE.

The 10 most intense peaks (2θ = 15–90°), sorted by position:
index	d/Å	I_rel
1 1 1	2.961	100
2 0 0	2.564	51
2 1 0	2.294	1
2 1 1	2.094	1
2 2 0	1.813	40
3 1 1	1.546	52
2 2 2	1.481	14
4 0 0	1.282	5
3 3 1	1.177	18
4 2 0	1.147	19

```
12
Lattice="5.1288 0.0000 0.0000 0.0000 5.1288 0.0000 0.0000 0.0000 5.1288" Properties=species:S:1:pos:R:3 pbc="T T T"
Ta 0.0000 0.0000 0.0000
Ta 0.0000 2.5644 2.5644
Ta 2.5644 0.0000 2.5644
Ta 2.5644 2.5644 0.0000
N 0.7377 3.3021 4.3912
N 0.7377 4.3912 1.8267
N 1.8267 0.7377 4.3912
N 1.8267 1.8267 1.8267
N 3.3021 3.3021 3.3021
N 3.3021 4.3912 0.7377
N 4.3912 0.7377 3.3021
N 4.3912 1.8267 0.7377
```

---

AsXeO2F7: computed X-ray diffraction stick pattern (copper Kα), based on a crystal structure in the Materials Project, relaxed with PBE.

The 10 most intense peaks (2θ = 15–90°), sorted by position:
index	d/Å	I_rel
1 1 1	5.246	100
0 0 2	4.618	42
2 0 0	4.474	35
0 1 2	4.113	96
1 2 0	4.049	99
2 0 1	4.022	56
1 1 2	3.740	39
1 2 1	3.708	32
3 1 1	2.709	46
1 2 5	1.681	28

```
44
Lattice="8.9473 0.0000 0.0000 0.0000 9.0817 0.0000 0.0000 0.0000 9.2360" Properties=species:S:1:pos:R:3 pbc="T T T"
As 1.1728 1.1716 3.6031
As 3.3008 7.9101 8.2211
As 5.6465 3.3693 5.6329
As 7.7745 5.7125 1.0149
Xe 0.1243 5.1122 5.0878
Xe 4.3494 3.9696 0.4698
Xe 4.5979 8.5104 4.1482
Xe 8.8230 0.5713 8.7663
O 0.1715 2.3371 8.3258
O 0.9659 4.2923 6.5078
O 3.5078 4.7894 1.8898
O 4.3021 6.7447 3.7078
O 4.6452 2.2038 0.9102
O 5.4396 0.2485 2.7283
O 7.9814 8.8332 7.3463
O 8.7758 6.8779 5.5282
F 0.3853 4.9445 1.0915
F 0.4594 2.8091 3.6016
F 1.1843 1.1286 5.3503
F 1.2009 1.2155 1.7977
F 1.6719 7.2161 8.2094
F 1.7624 5.4457 3.9286
F 1.9960 8.6306 3.5480
F 2.4776 0.4512 8.1660
F 2.7113 3.6361 8.5466
F 2.8018 1.8657 3.5914
F 3.2727 7.8662 6.4157
F 3.2894 7.9532 0.7323
F 4.0142 6.2726 8.2196
F 4.0884 4.1372 5.7095
F 4.8590 8.6781 8.1445
F 4.9331 1.7318 5.6344
F 5.6579 3.4123 3.8857
F 5.6746 3.3254 7.4384
F 6.1455 6.4065 1.0267
F 6.2360 8.1769 5.3074
F 6.4697 4.9920 5.6880
F 6.9513 4.0897 1.0700
F 7.1850 0.9048 0.6894
F 7.2755 2.6752 5.6447
F 7.7464 5.7564 2.8204
F 7.7630 5.6694 8.5037
F 8.4879 7.3500 1.0164
F 8.5620 0.4036 3.5265
```

---

VCrN2: computed X-ray diffraction stick pattern (copper Kα), based on a crystal structure in the Materials Project, relaxed with PBE.

The 10 most intense peaks (2θ = 15–90°), sorted by position:
index	d/Å	I_rel
0 1 2	2.422	59
0 0 6	2.309	17
1 0 4	2.072	100
1 1 0	1.492	30
0 1 8	1.439	26
2 0 2	1.270	7
1 1 6	1.253	14
1 0 10	1.221	6
0 2 4	1.211	13
0 0 12	1.155	4

```
12
Lattice="2.9846 0.0000 0.0000 -1.4923 2.5847 0.0000 0.0000 0.0000 13.8557" Properties=species:S:1:pos:R:3 pbc="T T T"
V 0.0000 0.0000 0.0000
V 0.0000 1.7231 9.2372
V 1.4923 0.8616 4.6186
Cr 0.0000 0.0000 6.9279
Cr 0.0000 1.7231 2.3093
Cr 1.4923 0.8616 11.5464
N 0.0000 0.0000 3.4416
N 0.0000 0.0000 10.4141
N 0.0000 1.7231 5.7955
N 0.0000 1.7231 12.6788
N 1.4923 0.8616 1.1770
N 1.4923 0.8616 8.0602
```

---

Sc3P: computed X-ray diffraction stick pattern (copper Kα), based on a crystal structure in the Materials Project, relaxed with PBE.

The 10 most intense peaks (2θ = 15–90°), sorted by position:
index	d/Å	I_rel
1 0 1	3.738	2
1 1 2	2.459	100
0 0 4	2.367	22
2 0 0	2.034	27
2 0 4	1.543	21
2 2 0	1.438	8
1 1 6	1.384	14
3 1 2	1.242	19
2 2 4	1.229	9
0 0 8	1.183	2

```
8
Lattice="4.0686 0.0000 0.0000 0.0000 4.0686 0.0000 0.0000 0.0000 9.4677" Properties=species:S:1:pos:R:3 pbc="T T T"
Sc 0.0000 0.0000 0.0000
Sc 0.0000 2.0343 2.3669
Sc 0.0000 2.0343 7.1007
Sc 2.0343 0.0000 2.3669
Sc 2.0343 0.0000 7.1007
Sc 2.0343 2.0343 4.7338
P 0.0000 0.0000 4.7338
P 2.0343 2.0343 0.0000
```